1.
# Nd2Ta2I2O7
Calculated powder diffractogram, Cu Ka. Input: a DFT-relaxed cell (PBE, OQMD).
Peak positions follow from Bragg's law for the DFT cell and can differ from measured ones.

Crystal structure
Lattice parameters (Å, degrees): 8.192 8.192 7.102 112.51 112.51 28.11
Atoms (fractional coordinates):
Nd  0.186  0.186  0.140
Nd  0.814  0.814  0.860
Ta  0.468  0.468  0.205
Ta  0.532  0.532  0.795
I  0.167  0.167  0.560
I  0.833  0.833  0.440
O  0.042  0.042  0.832
O  0.330  0.330  0.073
O  0.422  0.422  0.857
O  0.500  0.500  0.500
O  0.578  0.578  0.143
O  0.670  0.670  0.927
O  0.958  0.958  0.168

Top 10 peaks for 10° ≤ 2θ ≤ 90°, low angle first:
Position (°2θ)  I (rel.)
28.17  19
28.61  60
28.99  100
32.49  17
34.19  85
36.93  16
45.60  24
47.32  24
54.72  20
57.67  17

---

2.
# PrNdSbI2
Calculated powder diffractogram, Cu Ka. Input: a DFT-relaxed cell (PBE, OQMD).
Peak positions follow from Bragg's law for the DFT cell and can differ from measured ones.

Crystal structure
Lattice parameters (Å, degrees): 4.490 4.490 11.588 90.00 90.00 120.00
Atoms (fractional coordinates):
Pr  0.000  0.000  0.000
Nd  0.667  0.333  0.695
Sb  0.333  0.667  0.846
I  0.000  0.000  0.522
I  0.667  0.333  0.173

Top 10 peaks for 10° ≤ 2θ ≤ 90°, low angle first:
Position (°2θ)  I (rel.)
22.87  8
27.63  100
32.68  8
38.76  37
40.17  35
49.45  20
57.05  12
63.54  15
65.52  17
72.05  12

---

3.
# NdSnSbI2
Calculated powder diffractogram, Cu Ka. Input: a DFT-relaxed cell (PBE, OQMD).
Peak positions follow from Bragg's law for the DFT cell and can differ from measured ones.

Crystal structure
Lattice parameters (Å, degrees): 4.487 4.487 11.617 90.00 90.00 120.00
Atoms (fractional coordinates):
Nd  0.000  0.000  0.000
Sn  0.667  0.333  0.688
Sb  0.333  0.667  0.846
I  0.000  0.000  0.519
I  0.667  0.333  0.171

Top 10 peaks for 10° ≤ 2θ ≤ 90°, low angle first:
Position (°2θ)  I (rel.)
22.90  9
24.15  8
27.62  100
38.71  39
40.19  35
49.46  20
57.03  12
63.46  16
65.56  17
72.05  12